Structure and computed PXRD pattern of Hf4BePt (a DFT-relaxed cell (GGA-PBE, Alexandria); Cu Kα, 1.54184 Å).
Neutral-atom scattering factors, no anomalous dispersion.

```
data_Hf4BePt
_symmetry_space_group_name_H-M 'I 4 2 2'
_symmetry_Int_Tables_number 97
_symmetry_space_group_name_Hall 'I 4 2'
_cell_length_a 6.6523
_cell_length_b 6.6523
_cell_length_c 5.0791
_cell_angle_alpha 90.00
_cell_angle_beta 90.00
_cell_angle_gamma 90.00
loop_
_atom_site_label
_atom_site_fract_x
_atom_site_fract_y
_atom_site_fract_z
_atom_site_occupancy
Hf1 0.1580 0.3420 0.2500 1
Be1 0.0000 0.0000 0.5000 1
Pt1 0.0000 0.0000 0.0000 1
```

Main lines, in order of rising 2θ (2θ from 10° to 90°):
index, 2θ/deg, I/Imax
1 0 1, 22.02, 17
2 1 1, 34.95, 100
1 1 2, 40.36, 17
3 1 0, 43.00, 29
2 0 2, 44.91, 18
4 1 1, 60.18, 15
2 1 3, 63.19, 18
4 0 2, 67.30, 11
3 3 2, 70.60, 16
5 2 1, 79.92, 12